# 1
Theoretical powder XRD pattern of LiH2F4 for Cu Kα (weighted mean of Kα1 and Kα2), from a GGA-PBE-relaxed structure.
No peak broadening, texture or thermal motion is included.

Structure:
a = 5.217 Å, b = 5.217 Å, c = 6.477 Å
α = 118.58°, β = 118.58°, γ = 72.74°
Atoms (fractional coordinates):
1 Li 0.000 0.000 0.000
2 Li 0.759 0.241 0.500
3 H 0.239 0.505 0.741
4 H 0.296 0.052 0.769
5 H 0.495 0.761 0.259
6 H 0.948 0.704 0.231
7 F 0.049 0.563 0.761
8 F 0.098 0.054 0.759
9 F 0.437 0.951 0.239
10 F 0.517 0.407 0.724
11 F 0.563 0.038 0.762
12 F 0.593 0.483 0.276
13 F 0.946 0.902 0.241
14 F 0.962 0.437 0.238

The 10 most intense peaks (10 to 80 degrees two-theta), by intensity:
2θ = 34.4°, d 2.605, I 100.0
2θ = 40.8°, d 2.212, I 83.0
2θ = 39.5°, d 2.282, I 79.6
2θ = 35.8°, d 2.509, I 25.7
2θ = 36.1°, d 2.489, I 22.9
2θ = 30.8°, d 2.904, I 20.8
2θ = 66.9°, d 1.398, I 17.3
2θ = 49.6°, d 1.837, I 15.3
2θ = 45.5°, d 1.995, I 15.0
2θ = 59.8°, d 1.547, I 12.4



# 2
Theoretical powder XRD pattern of SrAc4Sm for Cu Kα (weighted mean of Kα1 and Kα2), from a GGA-PBE-relaxed structure.
No peak broadening, texture or thermal motion is included.

Structure:
a = 3.988 Å, b = 3.988 Å, c = 16.693 Å
α = 90.00°, β = 90.00°, γ = 90.00°
Atoms (fractional coordinates):
1 Sr 0.000 0.000 0.000
2 Ac 0.000 0.000 0.348
3 Ac 0.000 0.000 0.652
4 Ac 0.500 0.500 0.185
5 Ac 0.500 0.500 0.815
6 Sm 0.500 0.500 0.500

The 10 most intense peaks (10 to 80 degrees two-theta), by intensity:
2θ = 27.5°, d 3.242, I 100.0
2θ = 31.7°, d 2.820, I 37.6
2θ = 54.0°, d 1.698, I 31.9
2θ = 45.8°, d 1.981, I 20.6
2θ = 32.2°, d 2.782, I 14.3
2θ = 45.5°, d 1.994, I 14.1
2θ = 56.8°, d 1.621, I 10.8
2θ = 31.0°, d 2.883, I 8.9
2θ = 54.6°, d 1.682, I 7.8
2θ = 10.6°, d 8.347, I 7.7



# 3
Theoretical powder XRD pattern of Nd3MoN4 for Cu Kα (weighted mean of Kα1 and Kα2), from a GGA-PBE-relaxed structure.
No peak broadening, texture or thermal motion is included.

Structure:
a = 7.861 Å, b = 6.920 Å, c = 5.275 Å
α = 90.00°, β = 90.00°, γ = 90.00°
Atoms (fractional coordinates):
1 Nd 0.000 0.147 0.000
2 Nd 0.243 0.337 0.505
3 Nd 0.257 0.663 0.005
4 Nd 0.500 0.853 0.500
5 Nd 0.743 0.663 0.005
6 Nd 0.757 0.337 0.505
7 Mo 0.000 0.825 0.447
8 Mo 0.500 0.175 0.947
9 N 0.000 0.110 0.487
10 N 0.000 0.818 0.077
11 N 0.220 0.697 0.496
12 N 0.280 0.303 0.996
13 N 0.500 0.182 0.577
14 N 0.500 0.890 0.987
15 N 0.720 0.303 0.996
16 N 0.780 0.697 0.496

The 10 most intense peaks (10 to 80 degrees two-theta), by intensity:
2θ = 31.2°, d 2.868, I 100.0
2θ = 30.9°, d 2.893, I 59.5
2θ = 26.1°, d 3.418, I 47.3
2θ = 34.0°, d 2.638, I 39.1
2θ = 45.6°, d 1.989, I 33.6
2θ = 58.1°, d 1.588, I 29.3
2θ = 43.3°, d 2.088, I 22.6
2θ = 56.6°, d 1.626, I 22.2
2θ = 25.7°, d 3.460, I 17.4
2θ = 46.2°, d 1.965, I 17.0